For Ho5Ge10Os4, the PBE geometry in the Materials Project gives the calculated powder diffractogram in this record (copper Kα).
Kinematic intensities with the Lorentz-polarization factor, no thermal factor.

Principal peaks in the range 2θ = 10–90°, low angle first:
2θ 32.3, 2.774 Å, intensity 27; 2θ 34.4, 2.606 Å, intensity 100; 2θ 35.1, 2.556 Å, intensity 33; 2θ 35.8, 2.510 Å, intensity 76; 2θ 42.4, 2.134 Å, intensity 52; 2θ 67.3, 1.391 Å, intensity 25

Cell: 13.1645 13.1645 4.2670 Å, 90.00 90.00 90.00°
Fractional coordinates of all 38 atoms:
1 Ho 0.0000 0.0000 0.0000
2 Ho 0.1167 0.3833 0.5000
3 Ho 0.1718 0.6718 0.5000
4 Ho 0.3282 0.1718 0.5000
5 Ho 0.3833 0.8833 0.5000
6 Ho 0.5000 0.5000 0.0000
7 Ho 0.6167 0.1167 0.5000
8 Ho 0.6718 0.8282 0.5000
9 Ho 0.8282 0.3282 0.5000
10 Ho 0.8833 0.6167 0.5000
11 Ge 0.0082 0.8422 0.5000
12 Ge 0.0676 0.5676 0.0000
13 Ge 0.1578 0.0082 0.5000
14 Ge 0.1638 0.1978 0.0000
15 Ge 0.1978 0.8362 0.0000
16 Ge 0.3022 0.3362 0.0000
17 Ge 0.3362 0.6978 0.0000
18 Ge 0.3422 0.5082 0.5000
19 Ge 0.4324 0.0676 0.0000
20 Ge 0.4918 0.3422 0.5000
21 Ge 0.5082 0.6578 0.5000
22 Ge 0.5676 0.9324 0.0000
23 Ge 0.6578 0.4918 0.5000
24 Ge 0.6638 0.3022 0.0000
25 Ge 0.6978 0.6638 0.0000
26 Ge 0.8022 0.1638 0.0000
27 Ge 0.8362 0.8022 0.0000
28 Ge 0.8422 0.9918 0.5000
29 Ge 0.9324 0.4324 0.0000
30 Ge 0.9918 0.1578 0.5000
31 Os 0.0184 0.7523 0.0000
32 Os 0.2477 0.0184 0.0000
33 Os 0.2523 0.5184 0.0000
34 Os 0.4816 0.2523 0.0000
35 Os 0.5184 0.7477 0.0000
36 Os 0.7477 0.4816 0.0000
37 Os 0.7523 0.9816 0.0000
38 Os 0.9816 0.2477 0.0000

***

For Ho2Ge2Os, the PBE geometry in the Materials Project gives the calculated powder diffractogram in this record (copper Kα).
Kinematic intensities with the Lorentz-polarization factor, no thermal factor.

Principal peaks in the range 2θ = 10–90°, low angle first:
2θ 33.2, 2.695 Å, intensity 100; 2θ 34.2, 2.624 Å, intensity 35; 2θ 36.7, 2.447 Å, intensity 56; 2θ 40.3, 2.236 Å, intensity 64; 2θ 42.0, 2.149 Å, intensity 44; 2θ 59.8, 1.547 Å, intensity 26

Cell: 5.7971 5.7971 10.1065 Å, 115.95 115.95 43.52°
Fractional coordinates of all 10 atoms:
1 Ho 0.0041 0.0041 0.1748
2 Ho 0.1836 0.1836 0.6151
3 Ho 0.8164 0.8164 0.3849
4 Ho 0.9959 0.9959 0.8252
5 Ge 0.3576 0.3576 0.9383
6 Ge 0.4872 0.4872 0.6247
7 Ge 0.5128 0.5128 0.3753
8 Ge 0.6424 0.6424 0.0617
9 Os 0.2701 0.2701 0.1320
10 Os 0.7299 0.7299 0.8680

***

For HoGePd, the PBE geometry in the Materials Project gives the calculated powder diffractogram in this record (copper Kα).
Kinematic intensities with the Lorentz-polarization factor, no thermal factor.

Principal peaks in the range 2θ = 10–90°, low angle first:
2θ 33.6, 2.671 Å, intensity 21; 2θ 34.9, 2.573 Å, intensity 100; 2θ 40.9, 2.209 Å, intensity 62; 2θ 54.8, 1.676 Å, intensity 21; 2θ 66.8, 1.400 Å, intensity 12; 2θ 68.7, 1.366 Å, intensity 11

Cell: 4.4121 13.9095 7.6616 Å, 90.00 90.00 90.00°
Fractional coordinates of all 24 atoms:
1 Ho 0.2500 0.0009 0.2141
2 Ho 0.2500 0.2500 0.2970
3 Ho 0.2500 0.4991 0.2141
4 Ho 0.2500 0.7500 0.2896
5 Ho 0.7500 0.2500 0.7104
6 Ho 0.7500 0.5009 0.7859
7 Ho 0.7500 0.7500 0.7030
8 Ho 0.7500 0.9991 0.7859
9 Ge 0.2500 0.1077 0.5915
10 Ge 0.2500 0.3923 0.5915
11 Ge 0.2500 0.6516 0.9090
12 Ge 0.2500 0.8484 0.9090
13 Ge 0.7500 0.1516 0.0910
14 Ge 0.7500 0.3484 0.0910
15 Ge 0.7500 0.6077 0.4085
16 Ge 0.7500 0.8923 0.4085
17 Pd 0.2500 0.1414 0.9235
18 Pd 0.2500 0.3586 0.9235
19 Pd 0.2500 0.5953 0.5811
20 Pd 0.2500 0.9047 0.5811
21 Pd 0.7500 0.0953 0.4189
22 Pd 0.7500 0.4047 0.4189
23 Pd 0.7500 0.6414 0.0765
24 Pd 0.7500 0.8586 0.0765

***

For HoGePd2, the PBE geometry in the Materials Project gives the calculated powder diffractogram in this record (copper Kα).
Kinematic intensities with the Lorentz-polarization factor, no thermal factor.

Principal peaks in the range 2θ = 10–90°, low angle first:
2θ 31.6, 2.835 Å, intensity 55; 2θ 35.0, 2.566 Å, intensity 77; 2θ 36.6, 2.458 Å, intensity 100; 2θ 38.6, 2.333 Å, intensity 51; 2θ 39.9, 2.261 Å, intensity 61; 2θ 63.8, 1.460 Å, intensity 41

Cell: 7.4153 7.1087 5.6013 Å, 90.00 90.00 90.00°
Fractional coordinates of all 16 atoms:
1 Ho 0.0298 0.2500 0.1481
2 Ho 0.4702 0.7500 0.6481
3 Ho 0.5298 0.2500 0.3519
4 Ho 0.9702 0.7500 0.8519
5 Ge 0.1196 0.7500 0.3525
6 Ge 0.3804 0.2500 0.8525
7 Ge 0.6196 0.7500 0.1475
8 Ge 0.8804 0.2500 0.6475
9 Pd 0.1808 0.0501 0.5892
10 Pd 0.1808 0.4499 0.5892
11 Pd 0.3192 0.5501 0.0892
12 Pd 0.3192 0.9499 0.0892
13 Pd 0.6808 0.0501 0.9108
14 Pd 0.6808 0.4499 0.9108
15 Pd 0.8192 0.5501 0.4108
16 Pd 0.8192 0.9499 0.4108